# AlCr2In
Simulated powder X-ray diffraction pattern, Cu Ka. Input: a DFT-relaxed cell (GGA-PBE, Alexandria).
No peak broadening, texture or thermal motion is included.

Cell and atoms:
```
4
Lattice="3.0156 0.0000 0.0000 0.0000 4.3934 0.0000 0.0000 0.0000 4.8671" Properties=species:S:1:pos:R:3 pbc="T T T"
Al 0.0000 0.0000 0.0000
Cr 1.5078 0.0000 2.6648
Cr 1.5078 2.1967 4.0905
In 0.0000 2.1967 1.6910
```

Top 6 peaks for 10° ≤ 2θ ≤ 90°, low angle first:
| two_theta | I/Imax | index |
| --- | --- | --- |
| 20.21 | 26 | 0 1 0 |
| 35.00 | 42 | 1 0 1 |
| 40.75 | 100 | 1 1 1 |
| 41.09 | 33 | 0 2 0 |
| 42.46 | 51 | 0 1 2 |
| 55.05 | 21 | 1 2 1 |